Record 1
Structure and calculated XRD peak list of PtI6N2 (a PBE-relaxed structure; Cu Kα, 1.54184 Å).
Peak positions follow from Bragg's law for the DFT cell and can differ from measured ones.

The 6 most intense peaks (2θ = 10–90°), by intensity:
2θ (°), d (Å), Rel. int.
15.95, 5.555, 1000
32.23, 2.778, 987
27.82, 3.207, 718
46.22, 1.964, 700
13.80, 6.415, 604
36.15, 2.484, 522

Structural model:
Cell: 7.8565 7.8565 7.8565 Å, 60.00 60.00 60.00°
Positions (direct):
Pt 0.0000 0.0000 0.0000
I 0.2400 0.2400 0.7600
I 0.2400 0.7600 0.2400
I 0.2400 0.7600 0.7600
I 0.7600 0.2400 0.2400
I 0.7600 0.2400 0.7600
I 0.7600 0.7600 0.2400
N 0.2500 0.2500 0.2500
N 0.7500 0.7500 0.7500

Record 2
Structure and calculated XRD peak list of CaSnP2O7 (a PBE-relaxed structure; Cu Kα, 1.54184 Å).
Peak positions follow from Bragg's law for the DFT cell and can differ from measured ones.

The 6 most intense peaks (2θ = 10–90°), by intensity:
2θ (°), d (Å), Rel. int.
26.51, 3.362, 1000
27.93, 3.194, 780
27.11, 3.289, 604
30.38, 2.942, 489
15.61, 5.676, 461
37.83, 2.378, 379

Structural model:
Cell: 7.6096 9.7342 9.5991 Å, 90.00 113.46 90.00°
Positions (direct):
Ca 0.2115 0.0520 0.3219
Ca 0.2115 0.4480 0.8219
Ca 0.7885 0.5520 0.1781
Ca 0.7885 0.9480 0.6781
Sn 0.2656 0.0815 0.8916
Sn 0.2656 0.4185 0.3916
Sn 0.7344 0.5815 0.6085
Sn 0.7344 0.9185 0.1084
P 0.0314 0.7231 0.9733
P 0.0314 0.7769 0.4733
P 0.4305 0.7392 0.2448
P 0.4305 0.7608 0.7448
P 0.5695 0.2392 0.2552
P 0.5695 0.2608 0.7552
P 0.9686 0.2231 0.5267
P 0.9686 0.2769 0.0267
O 0.9998 0.1034 0.6394
O 0.9998 0.3966 0.1394
O 0.0002 0.6034 0.8606
O 0.0002 0.8966 0.3606
O 0.0213 0.6351 0.4024
O 0.0213 0.8649 0.9024
O 0.1044 0.2150 0.4430
O 0.1044 0.2850 0.9430
O 0.2458 0.6912 0.0963
O 0.2458 0.8088 0.5963
O 0.3933 0.6222 0.7996
O 0.3933 0.8778 0.2996
O 0.4047 0.2431 0.3132
O 0.4047 0.2569 0.8132
O 0.4676 0.6203 0.3579
O 0.4676 0.8797 0.8579
O 0.5324 0.1203 0.1421
O 0.5324 0.3797 0.6421
O 0.5953 0.7431 0.1868
O 0.5953 0.7569 0.6868
O 0.6067 0.1222 0.7004
O 0.6067 0.3778 0.2004
O 0.7542 0.1912 0.4037
O 0.7542 0.3088 0.9037
O 0.8956 0.7150 0.0570
O 0.8956 0.7850 0.5570
O 0.9787 0.1351 0.0976
O 0.9787 0.3649 0.5976